[1]
Computed X-ray diffraction stick pattern
Compound: MgVFeP4O14
Radiation: Cu Kα (λ = 1.5418 Å)
Structure: a GGA+U-relaxed structure

```
data_MgVFeP4O14
_space_group_name_H-M_alt 'P 1'
_space_group_IT_number 1
_cell_length_a 5.008
_cell_length_b 6.911
_cell_length_c 8.431
_cell_angle_alpha 88.78
_cell_angle_beta 87.76
_cell_angle_gamma 71.24
loop_
_space_group_symop_operation_xyz
'x,y,z'
loop_
_atom_site_label
_atom_site_type_symbol
_atom_site_fract_x
_atom_site_fract_y
_atom_site_fract_z
Mg1 Mg 0.000 0.000 0.000
V1 V 0.581 0.427 0.141
Fe1 Fe 0.986 0.959 0.612
P1 P 0.041 0.611 0.917
P2 P 0.177 0.171 0.315
P3 P 0.423 0.213 0.818
P4 P 0.566 0.774 0.414
O1 O 0.062 0.179 0.484
O2 O 0.215 0.664 0.048
O3 O 0.216 0.092 0.831
O4 O 0.245 0.452 0.795
O5 O 0.320 0.330 0.277
O6 O 0.364 0.775 0.554
O7 O 0.404 0.946 0.283
O8 O 0.581 0.201 0.976
O9 O 0.625 0.165 0.676
O10 O 0.655 0.579 0.317
O11 O 0.814 0.526 0.980
O12 O 0.825 0.827 0.460
O13 O 0.925 0.813 0.822
O14 O 0.953 0.176 0.190
```

Top 10 peaks for 2θ = 5–70°, sorted by position:
| h k l | two_theta | I/Imax |
| --- | --- | --- |
| 0 1 1 | 17.1 | 81 |
| 0 1 -1 | 17.2 | 100 |
| 1 1 1 | 21.6 | 60 |
| 1 1 -1 | 22.4 | 85 |
| 0 1 -2 | 25.3 | 32 |
| 1 -1 0 | 26.5 | 46 |
| 1 1 2 | 28.1 | 76 |
| 1 -1 1 | 28.4 | 31 |
| -1 1 1 | 28.8 | 32 |
| 1 1 -2 | 29.3 | 86 |

[2]
Computed X-ray diffraction stick pattern
Compound: Ba2Mn2AlTlO7
Radiation: Cu Kα (λ = 1.5418 Å)
Structure: a GGA+U-relaxed structure

```
data_Ba2Mn2AlTlO7
_space_group_name_H-M_alt 'P 4/m m m'
_space_group_IT_number 123
_space_group_name_Hall '-P 4 2'
_cell_length_a 3.764
_cell_length_b 3.764
_cell_length_c 13.988
_cell_angle_alpha 90.00
_cell_angle_beta 90.00
_cell_angle_gamma 90.00
loop_
_atom_site_label
_atom_site_type_symbol
_atom_site_fract_x
_atom_site_fract_y
_atom_site_fract_z
Ba1 Ba 0.000 0.000 0.195
Mn1 Mn 0.500 0.500 0.372
Al1 Al 0.000 0.000 0.500
Tl1 Tl 0.500 0.500 0.000
O1 O 0.000 0.000 0.000
O2 O 0.000 0.500 0.413
O3 O 0.500 0.500 0.224
```

Top 10 peaks for 2θ = 5–70°, sorted by position:
| h k l | two_theta | I/Imax |
| --- | --- | --- |
| 0 0 1 | 6.3 | 59 |
| 1 0 2 | 26.9 | 54 |
| 1 0 3 | 30.5 | 100 |
| 0 0 5 | 32.0 | 32 |
| 1 1 0 | 33.7 | 52 |
| 1 1 1 | 34.3 | 20 |
| 1 1 5 | 47.1 | 27 |
| 2 0 0 | 48.4 | 27 |
| 1 0 8 | 58.2 | 49 |
| 2 0 5 | 59.2 | 20 |

[3]
Computed X-ray diffraction stick pattern
Compound: Na2CaV4O12
Radiation: Cu Kα (λ = 1.5418 Å)
Structure: a GGA+U-relaxed structure

```
data_Na2CaV4O12
_space_group_name_H-M_alt 'P 4/n b m'
_space_group_IT_number 125
_cell_length_a 10.551
_cell_length_b 10.551
_cell_length_c 5.060
_cell_angle_alpha 90.00
_cell_angle_beta 90.00
_cell_angle_gamma 90.00
loop_
_space_group_symop_operation_xyz
'x,y,z'
'-x,-y,-z'
'-y+1/2,x,z'
'y+1/2,-x,-z'
'-x+1/2,-y+1/2,z'
'x+1/2,y+1/2,-z'
'y,-x+1/2,z'
'-y,x+1/2,-z'
'x,-y+1/2,-z'
'-x,y+1/2,z'
'-y+1/2,-x+1/2,-z'
'y+1/2,x+1/2,z'
'-x+1/2,y,-z'
'x+1/2,-y,z'
'y,x,-z'
'-y,-x,z'
loop_
_atom_site_label
_atom_site_type_symbol
_atom_site_fract_x
_atom_site_fract_y
_atom_site_fract_z
Na1 Na 0.000 0.000 0.000
Ca1 Ca 0.250 0.250 0.000
V1 V 0.027 0.750 0.500
O1 O 0.061 0.185 0.257
O2 O 0.128 0.628 0.646
```

Top 10 peaks for 2θ = 5–70°, sorted by position:
| h k l | two_theta | I/Imax |
| --- | --- | --- |
| 0 0 1 | 17.5 | 31 |
| 1 1 1 | 21.2 | 28 |
| 2 2 0 | 23.9 | 32 |
| 2 2 1 | 29.8 | 100 |
| 4 0 0 | 34.0 | 17 |
| 0 0 2 | 35.4 | 20 |
| 4 4 0 | 48.8 | 13 |
| 4 0 2 | 49.9 | 22 |
| 6 2 1 | 58.2 | 18 |
| 2 2 3 | 60.2 | 10 |